(1)
Calculated PXRD pattern
Compound: Li2CuNi2
Radiation: Cu Ka
Structure: a DFT-relaxed cell (GGA-PBE, Alexandria)
No peak broadening, texture or thermal motion is included.

Top 10 peaks for 2θ from 15° to 90°, by angle:
- 22.3°, d 3.992, I = 100
- 29.2°, d 3.062, I = 38
- 29.5°, d 3.027, I = 48
- 40.5°, d 2.228, I = 24
- 41.5°, d 2.176, I = 26
- 43.9°, d 2.061, I = 53
- 45.9°, d 1.975, I = 76
- 46.7°, d 1.945, I = 70
- 47.2°, d 1.924, I = 49
- 75.0°, d 1.266, I = 19

Crystal structure
Cell: 8.5899 4.3519 6.6953 Å, 90.00 111.66 90.00°
Space group C2/c (No. 15)
One atom of each set of equivalent atoms:
Li 0.2012 0.1650 0.1495 x8
Cu 0.0000 0.1858 0.7500 x4
Ni 0.0907 0.3205 0.4422 x8



(2)
Calculated PXRD pattern
Compound: Li5Cu5Ni2
Radiation: Cu Ka
Structure: a DFT-relaxed cell (GGA-PBE, Alexandria)
No peak broadening, texture or thermal motion is included.

Top 10 peaks for 2θ from 15° to 90°, by angle:
- 23.7°, d 3.751, I = 65
- 24.4°, d 3.642, I = 52
- 27.8°, d 3.213, I = 33
- 43.3°, d 2.091, I = 51
- 43.4°, d 2.087, I = 100
- 43.7°, d 2.073, I = 48
- 46.0°, d 1.971, I = 43
- 46.7°, d 1.944, I = 39
- 58.3°, d 1.583, I = 20
- 77.5°, d 1.232, I = 16

Crystal structure
Cell: 4.2171 4.6383 8.5380 Å, 95.94 96.85 116.82°
Space group P-1 (No. 2)
One atom of each set of equivalent atoms:
Li 0.0000 0.0000 0.0000 x1
Li 0.3223 0.1478 0.4989 x2
Li 0.3418 0.4172 0.2496 x2
Cu 0.0000 0.5000 0.5000 x1
Cu 0.0011 0.2661 0.7557 x2
Cu 0.3397 0.6815 0.0055 x2
Ni 0.3221 0.9043 0.7504 x2



(3)
Calculated PXRD pattern
Compound: LiCuNi2
Radiation: Cu Ka
Structure: a DFT-relaxed cell (GGA-PBE, Alexandria)
No peak broadening, texture or thermal motion is included.

Top 10 peaks for 2θ from 15° to 90°, by angle:
- 21.2°, d 4.191, I = 32
- 41.8°, d 2.159, I = 44
- 42.3°, d 2.136, I = 23
- 43.2°, d 2.095, I = 62
- 44.2°, d 2.049, I = 51
- 45.6°, d 1.990, I = 100
- 49.1°, d 1.856, I = 81
- 51.2°, d 1.784, I = 34
- 76.1°, d 1.251, I = 31
- 78.3°, d 1.222, I = 17

Crystal structure
Cell: 2.5023 2.5023 25.1444 Å, 90.00 90.00 120.00°
Space group R3m (No. 160, hexagonal axes)
One atom of each set of equivalent atoms:
Li 0.0000 0.0000 0.0000 x3
Cu 0.0000 0.0000 0.8334 x3
Ni 0.0000 0.0000 0.4171 x3
Ni 0.0000 0.0000 0.5828 x3



(4)
Calculated PXRD pattern
Compound: Li4Cu5Ni2
Radiation: Cu Ka
Structure: a DFT-relaxed cell (GGA-PBE, Alexandria)
No peak broadening, texture or thermal motion is included.

Top 10 peaks for 2θ from 15° to 90°, by angle:
- 21.0°, d 4.232, I = 93
- 21.8°, d 4.074, I = 43
- 25.5°, d 3.488, I = 75
- 27.0°, d 3.305, I = 30
- 42.7°, d 2.116, I = 40
- 44.4°, d 2.039, I = 100
- 45.0°, d 2.016, I = 29
- 46.4°, d 1.957, I = 60
- 47.6°, d 1.910, I = 41
- 55.1°, d 1.668, I = 28

Crystal structure
Cell: 6.7506 16.2968 2.5145 Å, 90.00 90.00 90.00°
Space group Pbam (No. 55)
One atom of each set of equivalent atoms:
Li 0.0751 0.1547 0.0000 x4
Li 0.1993 0.4253 0.0000 x4
Cu 0.0000 0.0000 0.5000 x2
Cu 0.1551 0.5619 0.5000 x4
Cu 0.2473 0.7830 0.5000 x4
Ni 0.0480 0.6853 0.0000 x4



(5)
Calculated PXRD pattern
Compound: Li2CuNi3
Radiation: Cu Ka
Structure: a DFT-relaxed cell (GGA-PBE, Alexandria)
No peak broadening, texture or thermal motion is included.

Top 10 peaks for 2θ from 15° to 90°, by angle:
- 21.7°, d 4.093, I = 100
- 22.5°, d 3.945, I = 52
- 24.5°, d 3.634, I = 54
- 40.8°, d 2.213, I = 20
- 44.7°, d 2.027, I = 67
- 45.8°, d 1.981, I = 93
- 46.0°, d 1.973, I = 36
- 50.2°, d 1.817, I = 62
- 51.4°, d 1.777, I = 21
- 57.0°, d 1.615, I = 40

Crystal structure
Cell: 4.7266 4.7266 7.8906 Å, 90.00 90.00 120.00°
Space group P6_3/mmc (No. 194)
One atom of each set of equivalent atoms:
Li 0.3333 0.6667 0.0656 x4
Cu 0.0000 0.0000 0.0000 x2
Ni 0.1697 0.3393 0.7500 x6



(6)
Calculated PXRD pattern
Compound: Li2Cu7Ni2
Radiation: Cu Ka
Structure: a DFT-relaxed cell (GGA-PBE, Alexandria)
No peak broadening, texture or thermal motion is included.

Top 10 peaks for 2θ from 15° to 90°, by angle:
- 31.6°, d 2.827, I = 24
- 33.2°, d 2.702, I = 13
- 42.4°, d 2.133, I = 29
- 45.1°, d 2.012, I = 100
- 45.9°, d 1.978, I = 20
- 46.7°, d 1.946, I = 33
- 48.5°, d 1.877, I = 18
- 67.5°, d 1.387, I = 11
- 69.6°, d 1.351, I = 11
- 85.5°, d 1.136, I = 14

Crystal structure
Cell: 3.8915 11.2621 6.0277 Å, 90.00 90.00 90.00°
Space group Imm2 (No. 44)
One atom of each set of equivalent atoms:
Li 0.0000 0.2022 0.0000 x4
Cu 0.0000 0.0000 0.2023 x2
Cu 0.0000 0.1546 0.5004 x4
Cu 0.0000 0.3548 0.7105 x4
Cu 0.0000 0.3565 0.2924 x4
Ni 0.0000 0.0000 0.7852 x2
Ni 0.0000 0.5000 0.0027 x2



(7)
Calculated PXRD pattern
Compound: Li4CuNi4
Radiation: Cu Ka
Structure: a DFT-relaxed cell (GGA-PBE, Alexandria)
No peak broadening, texture or thermal motion is included.

Top 10 peaks for 2θ from 15° to 90°, by angle:
- 16.2°, d 5.470, I = 83
- 32.7°, d 2.735, I = 13
- 36.3°, d 2.472, I = 42
- 43.4°, d 2.083, I = 100
- 50.0°, d 1.823, I = 32
- 51.7°, d 1.767, I = 15
- 55.4°, d 1.657, I = 13
- 73.5°, d 1.289, I = 9
- 74.8°, d 1.269, I = 18
- 89.4°, d 1.096, I = 22

Crystal structure
Cell: 7.7352 7.7352 3.5348 Å, 90.00 90.00 90.00°
Space group I4/mmm (No. 139)
One atom of each set of equivalent atoms:
Li 0.0000 0.3174 0.0000 x8
Cu 0.0000 0.0000 0.0000 x2
Ni 0.1658 0.1658 0.5000 x8



(8)
Calculated PXRD pattern
Compound: LiCu6Ni
Radiation: Cu Ka
Structure: a DFT-relaxed cell (GGA-PBE, Alexandria)
No peak broadening, texture or thermal motion is included.

Top 10 peaks for 2θ from 15° to 90°, by angle:
- 20.1°, d 4.426, I = 11
- 29.4°, d 3.037, I = 9
- 35.1°, d 2.555, I = 3
- 40.8°, d 2.213, I = 26
- 41.4°, d 2.179, I = 3
- 43.3°, d 2.088, I = 27
- 46.4°, d 1.955, I = 100
- 61.0°, d 1.519, I = 14
- 74.2°, d 1.278, I = 15
- 81.7°, d 1.178, I = 17

Crystal structure
Cell: 5.1104 5.1104 4.1754 Å, 90.00 90.00 120.00°
Space group P-6m2 (No. 187)
One atom of each set of equivalent atoms:
Li 0.0000 0.0000 0.0000 x1
Cu 0.0033 0.5017 0.0000 x3
Cu 0.3360 0.1680 0.5000 x3
Ni 0.3333 0.6667 0.5000 x1



(9)
Calculated PXRD pattern
Compound: LiCu3Ni4
Radiation: Cu Ka
Structure: a DFT-relaxed cell (GGA-PBE, Alexandria)
No peak broadening, texture or thermal motion is included.

Top 10 peaks for 2θ from 15° to 90°, by angle:
- 17.6°, d 5.035, I = 5
- 21.7°, d 4.104, I = 5
- 25.2°, d 3.536, I = 2
- 28.0°, d 3.181, I = 6
- 30.9°, d 2.893, I = 3
- 44.1°, d 2.051, I = 100
- 51.3°, d 1.781, I = 31
- 51.7°, d 1.768, I = 15
- 75.5°, d 1.259, I = 9
- 75.8°, d 1.255, I = 18

Crystal structure
Cell: 5.0399 5.0353 7.0710 Å, 90.00 90.00 90.00°
Space group Pmna (No. 53)
One atom of each set of equivalent atoms:
Li 0.0000 0.0000 0.0000 x2
Cu 0.0000 0.5000 0.0000 x2
Cu 0.2500 0.2481 0.2500 x4
Ni 0.0000 0.0000 0.5000 x2
Ni 0.0000 0.5000 0.5000 x2
Ni 0.2500 0.2511 0.7500 x4



(10)
Calculated PXRD pattern
Compound: LiCu5Ni2
Radiation: Cu Ka
Structure: a DFT-relaxed cell (GGA-PBE, Alexandria)
No peak broadening, texture or thermal motion is included.

Top 10 peaks for 2θ from 15° to 90°, by angle:
- 20.7°, d 4.301, I = 24
- 40.7°, d 2.217, I = 68
- 41.1°, d 2.198, I = 49
- 43.5°, d 2.082, I = 66
- 44.6°, d 2.030, I = 100
- 46.5°, d 1.951, I = 35
- 48.2°, d 1.889, I = 42
- 48.5°, d 1.877, I = 40
- 51.7°, d 1.769, I = 35
- 75.2°, d 1.263, I = 18

Crystal structure
Cell: 2.5569 11.8592 6.2465 Å, 90.00 90.02 90.00°
Space group P2_1/m (No. 11)
One atom of each set of equivalent atoms:
Li 0.2490 0.2500 0.4565 x2
Cu 0.2491 0.7500 0.8960 x2
Cu 0.2499 0.0469 0.1606 x4
Cu 0.2501 0.5855 0.4995 x4
Ni 0.2506 0.1463 0.8155 x4



(11)
Calculated PXRD pattern
Compound: Li3CuNi
Radiation: Cu Ka
Structure: a DFT-relaxed cell (GGA-PBE, Alexandria)
No peak broadening, texture or thermal motion is included.

Top 10 peaks for 2θ from 15° to 90°, by angle:
- 20.4°, d 4.349, I = 100
- 25.6°, d 3.473, I = 19
- 28.3°, d 3.158, I = 78
- 42.8°, d 2.114, I = 64
- 43.4°, d 2.086, I = 45
- 43.6°, d 2.077, I = 23
- 48.4°, d 1.881, I = 38
- 48.6°, d 1.875, I = 19
- 62.5°, d 1.486, I = 22
- 62.7°, d 1.483, I = 13

Crystal structure
Cell: 4.9724 4.1549 6.4963 Å, 90.00 103.01 90.00°
Space group P2_1 (No. 4)
One atom of each set of equivalent atoms:
Li 0.0581 0.0000 0.3502 x2
Li 0.2520 0.0005 0.7483 x2
Li 0.4382 0.0007 0.1613 x2
Cu 0.1377 0.5010 0.0657 x2
Ni 0.3831 0.4995 0.4447 x2